# 1
Simulated X-ray powder pattern of Fe10O9F11 for a wavelength of 1.5418 Å, from a DFT-relaxed cell (GGA+U, the Materials Project).
Kinematic intensities with the Lorentz-polarization factor, no thermal factor.

The 10 most intense peaks (10 to 90 degrees two-theta), in order of rising 2θ:
2θ 26.15, d 3.408, I = 97, (1 1 0)
2θ 26.75, d 3.333, I = 94, (1 -1 0)
2θ 34.49, d 2.601, I = 100, (0 1 5)
2θ 39.26, d 2.295, I = 18, (1 1 -5)
2θ 39.68, d 2.271, I = 18, (1 -1 5)
2θ 51.72, d 1.768, I = 59, (1 2 5)
2θ 52.40, d 1.746, I = 51, (-1 2 5)
2θ 59.57, d 1.552, I = 17, (0 0 10)
2θ 66.05, d 1.414, I = 29, (0 3 5)
2θ 66.16, d 1.412, I = 20, (3 0 -5)

Atomic structure:
Cell lengths 4.7628, 4.7701, 15.5183 Å; angles 89.98, 89.96, 88.72 degrees
Sites, in units of the cell vectors:
Fe1 0.0000 0.0000 0.0000
Fe2 0.0008 0.0003 0.1857
Fe3 0.4972 0.4945 0.0926
Fe4 0.4987 0.5396 0.6926
Fe5 0.5433 0.4696 0.2995
Fe6 0.5514 0.4605 0.8871
Fe7 0.5605 0.4799 0.4962
Fe8 0.9670 0.9785 0.3921
Fe9 0.9901 0.9586 0.7956
Fe10 0.9928 0.9656 0.5939
O1 0.1883 0.8062 0.6938
O2 0.1954 0.8033 0.0928
O3 0.6995 0.6750 0.7927
O4 0.7019 0.6823 0.5943
O5 0.7085 0.6660 0.3949
O6 0.8080 0.1906 0.0928
O7 0.8197 0.1700 0.2924
O8 0.8263 0.1667 0.4955
O9 0.8269 0.1650 0.8925
F1 0.2127 0.7760 0.4929
F2 0.2143 0.7776 0.2948
F3 0.2188 0.7712 0.8929
F4 0.3109 0.2868 0.7903
F5 0.3135 0.2944 0.2024
F6 0.3150 0.2936 0.5943
F7 0.3175 0.2883 0.9833
F8 0.3201 0.2774 0.3959
F9 0.7050 0.6835 0.2005
F10 0.7107 0.6789 0.9854
F11 0.8008 0.1909 0.6938


# 2
Simulated X-ray powder pattern of V4O3F9 for a wavelength of 1.5418 Å, from a DFT-relaxed cell (GGA+U, the Materials Project).
Kinematic intensities with the Lorentz-polarization factor, no thermal factor.

The 10 most intense peaks (10 to 90 degrees two-theta), in order of rising 2θ:
2θ 23.61, d 3.768, I = 100, (1 1 -2)
2θ 23.79, d 3.739, I = 50, (0 1 3)
2θ 33.09, d 2.707, I = 14, (1 -1 0)
2θ 39.82, d 2.264, I = 8, (1 1 -6)
2θ 39.93, d 2.258, I = 8, (-1 1 4)
2θ 48.30, d 1.884, I = 21, (2 0 6)
2θ 48.70, d 1.870, I = 10, (0 2 6)
2θ 53.63, d 1.709, I = 12, (1 -1 8)
2θ 53.93, d 1.700, I = 12, (-1 2 3)
2θ 55.21, d 1.664, I = 9, (3 2 -1)

Atomic structure:
Cell lengths 5.2455, 5.3866, 17.3931 Å; angles 83.24, 81.48, 61.24 degrees
Sites, in units of the cell vectors:
V1 0.0000 0.0000 0.0000
V2 0.0967 0.1452 0.6315
V3 0.2555 0.2135 0.2580
V4 0.3557 0.3314 0.8743
V5 0.4860 0.5139 0.5007
V6 0.6093 0.6326 0.1319
V7 0.7265 0.7389 0.7526
V8 0.8386 0.8638 0.3783
O1 0.0032 0.4132 0.6876
O2 0.1801 0.1817 0.9627
O3 0.4523 0.0639 0.8170
O4 0.4740 0.0705 0.3306
O5 0.5053 0.9101 0.1871
O6 0.6643 0.6944 0.4619
F1 0.0205 0.0230 0.2905
F2 0.1902 0.8098 0.5673
F3 0.2251 0.6460 0.4167
F4 0.2279 0.8065 0.0882
F5 0.2545 0.6620 0.9398
F6 0.2698 0.2835 0.5397
F7 0.4416 0.4450 0.2125
F8 0.4900 0.9019 0.6642
F9 0.5079 0.5348 0.7928
F10 0.7047 0.2977 0.0685
F11 0.7129 0.3221 0.5890
F12 0.7341 0.1510 0.9181
F13 0.7588 0.1739 0.4418
F14 0.7770 0.7762 0.0407
F15 0.9452 0.5426 0.3133
F16 0.9477 0.9418 0.7124
F17 0.9638 0.5749 0.8402
F18 0.9968 0.3922 0.1679


# 3
Simulated X-ray powder pattern of Li7Mn5O12 for a wavelength of 1.5418 Å, from a DFT-relaxed cell (GGA+U, the Materials Project).
Kinematic intensities with the Lorentz-polarization factor, no thermal factor.

The 10 most intense peaks (10 to 90 degrees two-theta), in order of rising 2θ:
2θ 18.35, d 4.836, I = 100, (0 1 1)
2θ 34.29, d 2.615, I = 16, (1 1 -2)
2θ 36.07, d 2.490, I = 13, (2 0 0)
2θ 36.37, d 2.470, I = 12, (1 0 3)
2θ 37.14, d 2.421, I = 9, (0 2 2)
2θ 41.24, d 2.189, I = 34, (1 2 -1)
2θ 44.13, d 2.052, I = 29, (-2 1 1)
2θ 44.28, d 2.045, I = 29, (1 1 4)
2θ 58.32, d 1.582, I = 9, (1 2 5)
2θ 64.61, d 1.442, I = 10, (3 0 3)

Atomic structure:
Cell lengths 5.0917, 5.2443, 8.7305 Å; angles 75.29, 85.95, 78.06 degrees
Sites, in units of the cell vectors:
Li1 0.0000 0.0000 0.0000
Li2 0.2361 0.4047 0.0825
Li3 0.2395 0.7460 0.7584
Li4 0.2470 0.0737 0.4162
Li5 0.7530 0.9263 0.5838
Li6 0.7605 0.2540 0.2416
Li7 0.7639 0.5953 0.9175
Mn1 0.0016 0.6828 0.3250
Mn2 0.4986 0.8500 0.1616
Mn3 0.5000 0.5000 0.5000
Mn4 0.5014 0.1500 0.8384
Mn5 0.9984 0.3172 0.6750
O1 0.1377 0.6984 0.5274
O2 0.1398 0.3668 0.8616
O3 0.1528 0.0393 0.2037
O4 0.3646 0.1212 0.6389
O5 0.3824 0.5069 0.2842
O6 0.3950 0.8213 0.9595
O7 0.6050 0.1787 0.0405
O8 0.6176 0.4931 0.7158
O9 0.6354 0.8788 0.3611
O10 0.8472 0.9607 0.7963
O11 0.8602 0.6332 0.1384
O12 0.8623 0.3016 0.4726